# PrCdSbI2
Computed powder X-ray diffraction pattern, Cu Kα, 1.54184 Å. Input: a DFT-relaxed cell (GGA-PBE, OQMD).

Cell and atoms:
```
data_PrCdSbI2
_chemical_formula_sum 'Pr1 Cd1 Sb1 I2'
_cell_length_a 4.4908
_cell_length_b 4.4908
_cell_length_c 10.9742
_cell_angle_alpha 90.00
_cell_angle_beta 90.00
_cell_angle_gamma 120.00
_space_group_name_H-M_alt 'P 3 m 1'
_space_group_IT_number 156
loop_
_space_group_symop_operation_xyz
'x,y,z'
'-y,x-y,z'
'-x+y,-x,z'
'-y,-x,z'
'-x+y,y,z'
'x,x-y,z'
loop_
_atom_site_label
_atom_site_fract_x
_atom_site_fract_y
_atom_site_fract_z
Pr1 0.0000 0.0000 0.0000
Cd1 0.6667 0.3333 0.6973
Sb1 0.3333 0.6667 0.8402
I1 0.0000 0.0000 0.5362
I2 0.6667 0.3333 0.1839
```

Largest 6 diffraction maxima, sorted by position, 2θ from 10° to 90°:
2θ = 28.12°, I = 100, hkl 1 0 2; 2θ = 40.19°, I = 70, hkl 1 1 0; 2θ = 49.75°, I = 20, hkl 0 2 2; 2θ = 58.15°, I = 11, hkl 2 0 4; 2θ = 65.81°, I = 30, hkl 2 1 2; 2θ = 73.01°, I = 17, hkl 3 0 0